# 1
Calculated powder XRD pattern
Compound: Hf2Zr2Tl3
Radiation: Cu Kα, 1.54184 Å
Structure: a DFT-relaxed cell (PBE, Alexandria)
Lines closer than 0.1° are merged.

Structural model:
a b c (Å): 3.189 3.189 31.571
angles (deg): 90.00 90.00 90.00
Space group I4/mmm (No. 139)
One atom of each set of equivalent atoms:
Hf 0.000 0.000 0.217 [4 per cell]
Zr 0.000 0.000 0.070 [4 per cell]
Tl 0.000 0.000 0.359 [4 per cell]
Tl 0.000 0.000 0.500 [2 per cell]

Most intense lines, 5° ≤ 2θ ≤ 70°, in order of rising 2θ:
- 2θ = 5.60°, rel. 7, hkl 0 0 2
- 2θ = 16.85°, rel. 3, hkl 0 0 6
- 2θ = 22.53°, rel. 4, hkl 0 0 8
- 2θ = 28.13°, rel. 6, hkl 1 0 1
- 2θ = 34.45°, rel. 100, hkl 1 0 7
- 2θ = 39.98°, rel. 50, hkl 1 1 0
- 2θ = 46.38°, rel. 2, hkl 1 1 8
- 2θ = 52.07°, rel. 2, hkl 1 0 15
- 2θ = 57.83°, rel. 34, hkl 2 0 0
- 2θ = 69.08°, rel. 40, hkl 2 1 7

# 2
Calculated powder XRD pattern
Compound: Hf3Zr3Tl2
Radiation: Cu Kα, 1.54184 Å
Structure: a DFT-relaxed cell (PBE, Alexandria)
Lines closer than 0.1° are merged.

Structural model:
a b c (Å): 4.446 4.465 8.965
angles (deg): 90.00 90.00 90.00
Space group Pmmm (No. 47)
One atom of each set of equivalent atoms:
Hf 0.000 0.000 0.000 [1 per cell]
Hf 0.000 0.000 0.500 [1 per cell]
Hf 0.500 0.500 0.000 [1 per cell]
Zr 0.500 0.000 0.248 [2 per cell]
Zr 0.500 0.500 0.500 [1 per cell]
Tl 0.000 0.500 0.249 [2 per cell]

Most intense lines, 5° ≤ 2θ ≤ 70°, in order of rising 2θ:
- 2θ = 28.22°, rel. 6, hkl 0 1 2
- 2θ = 34.81°, rel. 100, hkl 1 1 2
- 2θ = 40.24°, rel. 17, hkl 0 0 4
- 2θ = 40.41°, rel. 17, hkl 0 2 0
- 2θ = 40.58°, rel. 16, hkl 2 0 0
- 2θ = 58.34°, rel. 11, hkl 0 2 4
- 2θ = 58.47°, rel. 11, hkl 2 0 4
- 2θ = 58.60°, rel. 11, hkl 2 2 0
- 2θ = 69.64°, rel. 13, hkl 1 1 6
- 2θ = 69.88°, rel. 13, hkl 1 3 2

# 3
Calculated powder XRD pattern
Compound: Hf4Zr2Tl
Radiation: Cu Kα, 1.54184 Å
Structure: a DFT-relaxed cell (PBE, Alexandria)
Lines closer than 0.1° are merged.

Structural model:
a b c (Å): 6.273 6.273 17.338
angles (deg): 90.00 90.00 90.00
Space group I4/mcm (No. 140)
One atom of each set of equivalent atoms:
Hf 0.163 0.337 0.148 [16 per cell]
Zr 0.150 0.350 0.500 [8 per cell]
Tl 0.000 0.000 0.250 [4 per cell]

Most intense lines, 5° ≤ 2θ ≤ 70°, in order of rising 2θ:
- 2θ = 10.20°, rel. 24, hkl 0 0 2
- 2θ = 22.52°, rel. 17, hkl 1 1 2
- 2θ = 28.80°, rel. 18, hkl 1 1 4
- 2θ = 35.32°, rel. 20, hkl 2 0 4
- 2θ = 35.57°, rel. 100, hkl 2 1 3
- 2θ = 37.13°, rel. 18, hkl 1 1 6
- 2θ = 42.54°, rel. 19, hkl 2 0 6
- 2θ = 45.74°, rel. 27, hkl 3 1 0
- 2θ = 49.06°, rel. 14, hkl 2 1 7
- 2θ = 63.20°, rel. 14, hkl 4 1 3

# 4
Calculated powder XRD pattern
Compound: TmHf11
Radiation: Cu Kα, 1.54184 Å
Structure: a DFT-relaxed cell (PBE, Alexandria)
Lines closer than 0.1° are merged.

Structural model:
a b c (Å): 10.0784 10.0784 3.1365
angles (deg): 90.00 90.00 120.00
Space group P6/mmm (No. 191)
One atom of each set of equivalent atoms:
Tm 0.0000 0.0000 0.0000 [1 per cell]
Hf 0.0000 0.5000 0.0000 [3 per cell]
Hf 0.1767 0.3535 0.5000 [6 per cell]
Hf 0.3333 0.6667 0.0000 [2 per cell]

Most intense lines, 5° ≤ 2θ ≤ 70°, in order of rising 2θ:
- 2θ = 33.66°, rel. 26, hkl 1 1 1
- 2θ = 35.24°, rel. 53, hkl 2 0 1
- 2θ = 35.63°, rel. 100, hkl 2 2 0
- 2θ = 39.65°, rel. 18, hkl 2 1 1
- 2θ = 42.37°, rel. 15, hkl 3 0 1
- 2θ = 50.98°, rel. 18, hkl 4 0 1
- 2θ = 56.53°, rel. 11, hkl 4 1 1
- 2θ = 58.89°, rel. 8, hkl 0 0 2
- 2θ = 63.75°, rel. 18, hkl 4 2 1
- 2θ = 64.00°, rel. 17, hkl 6 0 0

# 5
Calculated powder XRD pattern
Compound: TmHfV
Radiation: Cu Kα, 1.54184 Å
Structure: a DFT-relaxed cell (PBE, Alexandria)
Lines closer than 0.1° are merged.

Structural model:
a b c (Å): 3.2496 3.2496 21.8044
angles (deg): 90.00 90.00 120.00
Space group R3m (No. 160, hexagonal axes)
One atom of each set of equivalent atoms:
Tm 0.0000 0.0000 0.0000 [3 per cell]
Hf 0.0000 0.0000 0.2025 [3 per cell]
V 0.0000 0.0000 0.7753 [3 per cell]

Most intense lines, 5° ≤ 2θ ≤ 70°, in order of rising 2θ:
- 2θ = 24.50°, rel. 35, hkl 0 0 6
- 2θ = 32.07°, rel. 72, hkl 1 0 1
- 2θ = 35.91°, rel. 75, hkl 1 0 4
- 2θ = 37.11°, rel. 28, hkl 0 0 9
- 2θ = 38.06°, rel. 100, hkl 0 1 5
- 2θ = 53.14°, rel. 32, hkl 1 0 10
- 2θ = 56.65°, rel. 34, hkl 1 1 0
- 2θ = 62.63°, rel. 16, hkl 1 1 6
- 2θ = 68.91°, rel. 26, hkl 0 1 14
- 2θ = 69.68°, rel. 27, hkl 1 1 9

# 6
Calculated powder XRD pattern
Compound: Tm5HfZn6
Radiation: Cu Kα, 1.54184 Å
Structure: a DFT-relaxed cell (PBE, Alexandria)
Lines closer than 0.1° are merged.

Structural model:
a b c (Å): 15.572 6.968 4.908
angles (deg): 90.00 108.31 90.00
Space group C2/m (No. 12)
One atom of each set of equivalent atoms:
Tm 0.000 0.000 0.000 [2 per cell]
Tm 0.164 0.000 0.664 [4 per cell]
Tm 0.172 0.500 0.672 [4 per cell]
Hf 0.000 0.500 0.000 [2 per cell]
Zn 0.000 0.272 0.500 [4 per cell]
Zn 0.161 0.262 0.160 [8 per cell]

Most intense lines, 5° ≤ 2θ ≤ 70°, in order of rising 2θ:
- 2θ = 25.60°, rel. 25, hkl 0 2 0
- 2θ = 36.50°, rel. 100, hkl 2 2 1
- 2θ = 36.62°, rel. 20, hkl 2 0 -2
- 2θ = 45.07°, rel. 4, hkl 6 2 0
- 2θ = 52.57°, rel. 14, hkl 4 0 2
- 2θ = 52.67°, rel. 7, hkl 8 0 -2
- 2θ = 59.33°, rel. 6, hkl 2 4 1
- 2θ = 65.65°, rel. 20, hkl 8 2 1
- 2θ = 65.74°, rel. 7, hkl 2 4 -2
- 2θ = 65.86°, rel. 14, hkl 0 2 3

# 7
Calculated powder XRD pattern
Compound: HfU5
Radiation: Cu Kα, 1.54184 Å
Structure: a DFT-relaxed cell (PBE, Alexandria)
Lines closer than 0.1° are merged.

Structural model:
a b c (Å): 4.072 15.237 4.052
angles (deg): 90.00 90.00 90.00
Space group Cmmm (No. 65)
One atom of each set of equivalent atoms:
Hf 0.000 0.000 0.000 [2 per cell]
U 0.000 0.167 0.500 [4 per cell]
U 0.000 0.334 0.000 [4 per cell]
U 0.000 0.500 0.500 [2 per cell]

Most intense lines, 5° ≤ 2θ ≤ 70°, in order of rising 2θ:
- 2θ = 11.62°, rel. 1, hkl 0 2 0
- 2θ = 35.35°, rel. 26, hkl 0 6 0
- 2θ = 35.92°, rel. 100, hkl 1 3 1
- 2θ = 44.50°, rel. 14, hkl 2 0 0
- 2θ = 44.73°, rel. 14, hkl 0 0 2
- 2θ = 58.07°, rel. 13, hkl 2 6 0
- 2θ = 58.26°, rel. 13, hkl 0 6 2
- 2θ = 63.82°, rel. 20, hkl 1 9 1
- 2θ = 64.93°, rel. 9, hkl 2 0 2

# 8
Calculated powder XRD pattern
Compound: HfV3
Radiation: Cu Kα, 1.54184 Å
Structure: a DFT-relaxed cell (PBE, Alexandria)
Lines closer than 0.1° are merged.

Structural model:
a b c (Å): 6.283 6.283 6.283
angles (deg): 90.00 90.00 90.00
Space group Fm-3m (No. 225)
One atom of each set of equivalent atoms:
Hf 0.000 0.000 0.000 [4 per cell]
V 0.000 0.000 0.500 [4 per cell]
V 0.250 0.250 0.250 [8 per cell]

Most intense lines, 5° ≤ 2θ ≤ 70°, in order of rising 2θ:
- 2θ = 24.54°, rel. 36, hkl 1 1 1
- 2θ = 28.41°, rel. 19, hkl 2 0 0
- 2θ = 40.62°, rel. 100, hkl 2 2 0
- 2θ = 48.03°, rel. 19, hkl 3 1 1
- 2θ = 50.31°, rel. 6, hkl 2 2 2
- 2θ = 58.79°, rel. 16, hkl 4 0 0
- 2θ = 64.67°, rel. 8, hkl 3 3 1
- 2θ = 66.56°, rel. 8, hkl 4 2 0

# 9
Calculated powder XRD pattern
Compound: Y3Hf
Radiation: Cu Kα, 1.54184 Å
Structure: a DFT-relaxed cell (PBE, Alexandria)
Lines closer than 0.1° are merged.

Structural model:
a b c (Å): 3.503 10.960 6.112
angles (deg): 90.00 90.00 90.00
Space group Imm2 (No. 44)
One atom of each set of equivalent atoms:
Y 0.000 0.000 0.000 [2 per cell]
Y 0.000 0.241 0.656 [4 per cell]
Hf 0.000 0.500 0.988 [2 per cell]

Most intense lines, 5° ≤ 2θ ≤ 70°, in order of rising 2θ:
- 2θ = 16.61°, rel. 14, hkl 0 1 1
- 2θ = 29.38°, rel. 25, hkl 1 0 1
- 2θ = 32.68°, rel. 35, hkl 0 4 0
- 2θ = 33.58°, rel. 49, hkl 0 2 2
- 2θ = 33.72°, rel. 100, hkl 1 2 1
- 2θ = 44.52°, rel. 16, hkl 1 4 1
- 2θ = 51.92°, rel. 19, hkl 1 0 3
- 2θ = 58.96°, rel. 28, hkl 1 6 1
- 2θ = 62.71°, rel. 21, hkl 1 4 3
- 2θ = 63.53°, rel. 15, hkl 2 2 2

# 10
Calculated powder XRD pattern
Compound: YHf3
Radiation: Cu Kα, 1.54184 Å
Structure: a DFT-relaxed cell (PBE, Alexandria)
Lines closer than 0.1° are merged.

Structural model:
a b c (Å): 4.600 4.600 9.110
angles (deg): 90.00 90.00 90.00
Space group I4/mmm (No. 139)
One atom of each set of equivalent atoms:
Y 0.000 0.000 0.000 [2 per cell]
Hf 0.000 0.000 0.500 [2 per cell]
Hf 0.000 0.500 0.250 [4 per cell]

Most intense lines, 5° ≤ 2θ ≤ 70°, in order of rising 2θ:
- 2θ = 19.49°, rel. 2, hkl 0 0 2
- 2θ = 21.64°, rel. 6, hkl 1 0 1
- 2θ = 33.86°, rel. 100, hkl 1 1 2
- 2θ = 39.17°, rel. 34, hkl 2 0 0
- 2θ = 39.57°, rel. 16, hkl 0 0 4
- 2θ = 45.18°, rel. 2, hkl 2 1 1
- 2θ = 56.59°, rel. 12, hkl 2 2 0
- 2θ = 56.90°, rel. 23, hkl 2 0 4
- 2θ = 67.60°, rel. 27, hkl 3 1 2
- 2θ = 68.16°, rel. 13, hkl 1 1 6

# 11
Calculated powder XRD pattern
Compound: Y3Hf
Radiation: Cu Kα, 1.54184 Å
Structure: a DFT-relaxed cell (PBE, Alexandria)
Lines closer than 0.1° are merged.

Structural model:
a b c (Å): 3.499 5.467 6.134
angles (deg): 90.00 90.00 90.00
Space group Pmm2 (No. 25)
One atom of each set of equivalent atoms:
Y 0.000 0.000 0.000 [1 per cell]
Y 0.000 0.500 0.337 [1 per cell]
Y 0.500 0.500 0.816 [1 per cell]
Hf 0.500 0.000 0.499 [1 per cell]

Most intense lines, 5° ≤ 2θ ≤ 70°, in order of rising 2θ:
- 2θ = 29.12°, rel. 12, hkl 0 0 2
- 2θ = 29.38°, rel. 29, hkl 1 0 1
- 2θ = 32.76°, rel. 37, hkl 0 2 0
- 2θ = 33.50°, rel. 54, hkl 0 1 2
- 2θ = 33.74°, rel. 100, hkl 1 1 1
- 2θ = 44.58°, rel. 18, hkl 1 2 1
- 2θ = 51.79°, rel. 20, hkl 1 0 3
- 2θ = 59.11°, rel. 20, hkl 1 3 1
- 2θ = 62.64°, rel. 22, hkl 1 2 3
- 2θ = 63.54°, rel. 17, hkl 2 1 2

# 12
Calculated powder XRD pattern
Compound: Y4Hf
Radiation: Cu Kα, 1.54184 Å
Structure: a DFT-relaxed cell (PBE, Alexandria)
Lines closer than 0.1° are merged.

Structural model:
a b c (Å): 5.581 5.581 5.581
angles (deg): 90.00 90.00 90.00
Space group Pm-3m (No. 221)
One atom of each set of equivalent atoms:
Y 0.000 0.000 0.000 [1 per cell]
Y 0.000 0.500 0.500 [3 per cell]
Hf 0.500 0.500 0.500 [1 per cell]

Most intense lines, 5° ≤ 2θ ≤ 70°, in order of rising 2θ:
- 2θ = 15.88°, rel. 57, hkl 1 0 0
- 2θ = 22.53°, rel. 51, hkl 1 1 0
- 2θ = 27.69°, rel. 25, hkl 1 1 1
- 2θ = 32.08°, rel. 100, hkl 2 0 0
- 2θ = 35.99°, rel. 31, hkl 2 1 0
- 2θ = 39.56°, rel. 24, hkl 2 1 1
- 2θ = 46.00°, rel. 72, hkl 2 2 0
- 2θ = 48.97°, rel. 16, hkl 3 0 0
- 2θ = 57.18°, rel. 25, hkl 2 2 2
- 2θ = 62.25°, rel. 13, hkl 3 2 1

# 13
Calculated powder XRD pattern
Compound: HfZn16
Radiation: Cu Kα, 1.54184 Å
Structure: a DFT-relaxed cell (PBE, Alexandria)
Lines closer than 0.1° are merged.

Structural model:
a b c (Å): 7.787 11.484 11.801
angles (deg): 90.00 90.00 90.00
Space group Cmcm (No. 63)
One atom of each set of equivalent atoms:
Hf 0.000 0.047 0.250 [4 per cell]
Zn 0.000 0.000 0.000 [4 per cell]
Zn 0.000 0.178 0.640 [8 per cell]
Zn 0.000 0.293 0.250 [4 per cell]
Zn 0.000 0.380 0.530 [8 per cell]
Zn 0.163 0.356 0.750 [8 per cell]
Zn 0.169 0.186 0.069 [16 per cell]
Zn 0.203 0.446 0.135 [16 per cell]

Most intense lines, 5° ≤ 2θ ≤ 70°, in order of rising 2θ:
- 2θ = 38.28°, rel. 35, hkl 2 0 4
- 2θ = 38.70°, rel. 41, hkl 3 1 2
- 2θ = 38.83°, rel. 39, hkl 0 4 3
- 2θ = 39.75°, rel. 100, hkl 2 4 1
- 2θ = 40.30°, rel. 84, hkl 1 3 4
- 2θ = 41.36°, rel. 69, hkl 0 2 5
- 2θ = 41.50°, rel. 44, hkl 2 2 4
- 2θ = 41.71°, rel. 36, hkl 1 5 1
- 2θ = 42.04°, rel. 33, hkl 3 3 0
- 2θ = 42.46°, rel. 94, hkl 3 1 3

# 14
Calculated powder XRD pattern
Compound: Hf6Zn5
Radiation: Cu Kα, 1.54184 Å
Structure: a DFT-relaxed cell (PBE, Alexandria)
Lines closer than 0.1° are merged.

Structural model:
a b c (Å): 4.588 6.648 7.231
angles (deg): 90.00 108.36 90.00
Space group P2/m (No. 10)
One atom of each set of equivalent atoms:
Hf 0.000 0.240 0.000 [2 per cell]
Hf 0.339 0.244 0.678 [4 per cell]
Zn 0.169 0.000 0.339 [2 per cell]
Zn 0.169 0.500 0.339 [2 per cell]
Zn 0.500 0.500 0.000 [1 per cell]

Most intense lines, 5° ≤ 2θ ≤ 70°, in order of rising 2θ:
- 2θ = 26.82°, rel. 16, hkl 0 2 0
- 2θ = 27.53°, rel. 30, hkl 1 0 1
- 2θ = 38.81°, rel. 100, hkl 1 2 1
- 2θ = 39.27°, rel. 25, hkl 2 0 -1
- 2θ = 39.39°, rel. 24, hkl 0 0 3
- 2θ = 48.24°, rel. 13, hkl 2 2 -1
- 2θ = 55.27°, rel. 9, hkl 0 4 0
- 2θ = 56.76°, rel. 8, hkl 2 0 2
- 2θ = 69.89°, rel. 9, hkl 2 4 -1
- 2θ = 69.97°, rel. 8, hkl 0 4 3